[1]
For Na4Cd2Au, a DFT-relaxed cell (PBE, Alexandria) gives the theoretical powder X-ray diffraction pattern in this record (Cu Kα (λ = 1.5418 Å)).
Intensities are scaled so that the largest is 100.

Cell lengths 6.329, 7.560, 9.271 Å; angles 74.78, 71.12, 67.34 degrees
Space group P1 (No. 1)
One atom of each set of equivalent atoms:
Na 0.000 0.000 0.000 x1
Na 0.006 0.514 0.471 x1
Na 0.028 0.028 0.377 x1
Na 0.443 0.003 0.613 x1
Na 0.494 0.062 0.948 x1
Na 0.510 0.453 0.524 x1
Na 0.562 0.512 0.858 x1
Na 0.976 0.485 0.094 x1
Cd 0.003 0.757 0.736 x1
Cd 0.370 0.676 0.180 x1
Cd 0.503 0.257 0.236 x1
Cd 0.635 0.838 0.292 x1
Au 0.112 0.355 0.785 x1
Au 0.893 0.160 0.686 x1

Principal peaks in the range 15 to 90 degrees two-theta, in order of rising 2θ:
2θ/deg  I_rel  index
16.44  75  1 0 1
17.67  35  0 1 -1
20.51  81  0 0 2
20.79  100  1 0 -1
28.22  45  2 1 1
35.37  47  2 1 3
35.78  37  0 2 -2
36.24  72  1 -2 1
37.22  42  1 3 2
38.38  37  1 0 -3

[2]
For La8Tb5Sm, a DFT-relaxed cell (PBE, Alexandria) gives the theoretical powder X-ray diffraction pattern in this record (Cu Kα (λ = 1.5418 Å)).
Intensities are scaled so that the largest is 100.

Cell lengths 9.804, 9.804, 10.462 Å; angles 90.00, 90.00, 90.00 degrees
Space group I-4 (No. 82)
One atom of each set of equivalent atoms:
La 0.069 0.171 0.346 x8
La 0.086 0.316 0.003 x8
Tb 0.000 0.500 0.250 x2
Tb 0.106 0.298 0.678 x8
Sm 0.000 0.000 0.000 x2

Principal peaks in the range 15 to 90 degrees two-theta, in order of rising 2θ:
2θ/deg  I_rel  index
27.14  62  1 0 3
28.62  69  3 0 1
28.80  78  1 3 0
30.95  27  2 2 2
32.81  100  2 1 3
33.60  43  1 3 2
34.07  50  2 3 1
53.62  23  5 0 3
59.66  23  2 6 0
60.96  22  1 3 6

[3]
For Ho2Er3Al4, a DFT-relaxed cell (PBE, Alexandria) gives the theoretical powder X-ray diffraction pattern in this record (Cu Kα (λ = 1.5418 Å)).
Intensities are scaled so that the largest is 100.

Cell lengths 5.0739, 5.0739, 9.6534 Å; angles 90.00, 90.00, 120.00 degrees
Space group P-3m1 (No. 164)
One atom of each set of equivalent atoms:
Ho 0.3333 0.6667 0.2183 x2
Er 0.0000 0.0000 0.0000 x1
Er 0.3333 0.6667 0.5802 x2
Al 0.0000 0.0000 0.3507 x2
Al 0.3333 0.6667 0.9008 x2

Principal peaks in the range 15 to 90 degrees two-theta, in order of rising 2θ:
2θ/deg  I_rel  index
22.23  44  0 1 1
27.45  58  0 1 2
34.55  100  1 0 3
35.38  96  1 1 0
45.35  15  2 0 2
50.29  35  0 2 3
60.24  21  1 1 5
62.98  35  2 1 3
63.52  18  3 0 0
85.13  16  1 3 3